Entry 1:
This entry pairs a crystal structure of Cs2Na2TlO4 with its computed X-ray diffraction stick pattern. Radiation: Cu Kα (weighted mean of Kα1 and Kα2). Structure: a cell relaxed with PBE.
Lines closer than 0.1° are merged.

Main lines, in order of rising 2θ (2θ = 15–90°):
| Position (°2θ) | I (rel.) |
| --- | --- |
| 22.40 | 100 |
| 27.28 | 50 |
| 28.18 | 52 |
| 30.34 | 69 |
| 34.53 | 76 |
| 35.95 | 64 |

Structure:
```
Cs2Na2TlO4
1.0
6.6809 -2.0881 0.0000
6.6809 2.0881 0.0000
-2.0093 0.0000 6.3324
Cs Na Tl O
2 2 1 4
Direct
0.1383 0.1383 0.0450
0.8617 0.8617 0.9550
0.3311 0.3311 0.5069
0.6689 0.6689 0.4931
0.0000 0.0000 0.5000
0.1704 0.1704 0.6166
0.4993 0.4993 0.2735
0.5007 0.5007 0.7265
0.8296 0.8296 0.3834
```

Entry 2:
This entry pairs a crystal structure of TbSc2Cu2Ge2 with its computed X-ray diffraction stick pattern. Radiation: Cu Kα (weighted mean of Kα1 and Kα2). Structure: a cell relaxed with PBE.
Lines closer than 0.1° are merged.

Main lines, in order of rising 2θ (2θ = 15–90°):
| Position (°2θ) | I (rel.) |
| --- | --- |
| 28.02 | 39 |
| 35.25 | 100 |
| 38.13 | 23 |
| 41.89 | 92 |
| 55.87 | 25 |
| 72.22 | 23 |

Structure:
```
TbSc2Cu2Ge2
1.0
2.1565 1.2451 8.1189
-2.1565 1.2451 8.1189
0.0000 -2.4901 8.1189
Tb Sc Cu Ge
1 2 2 2
Direct
0.0000 0.0000 0.0000
0.1350 0.1350 0.1350
0.8650 0.8650 0.8650
0.4336 0.4336 0.4336
0.5664 0.5664 0.5664
0.2592 0.2592 0.2592
0.7408 0.7408 0.7408
```